Record 1
Calculated powder diffraction line list
Compound: Zr6OsPt
Radiation: CuKα
Structure: a DFT-relaxed cell (GGA-PBE, Alexandria)

Top 10 peaks for 2θ = 10–80°, by angle:
two_theta, I_rel
11.96, 27
36.24, 100
38.11, 46
40.09, 6
45.74, 9
49.27, 9
55.00, 16
63.94, 16
67.66, 32
76.94, 9

Structure:
```
Zr6OsPt
1.0
4.722 0.000 0.000
0.000 4.722 0.000
0.000 0.000 14.795
Zr Os Pt
12 2 2
Cartesian
0.000 0.000 3.683 Zr
0.000 0.000 11.112 Zr
0.000 2.361 1.633 Zr
0.000 2.361 5.764 Zr
0.000 2.361 9.030 Zr
0.000 2.361 13.162 Zr
2.361 0.000 1.633 Zr
2.361 0.000 5.764 Zr
2.361 0.000 9.030 Zr
2.361 0.000 13.162 Zr
2.361 2.361 3.715 Zr
2.361 2.361 11.080 Zr
0.000 0.000 0.000 Os
2.361 2.361 7.397 Os
0.000 0.000 7.397 Pt
2.361 2.361 0.000 Pt
```

---

Record 2
Calculated powder diffraction line list
Compound: Sm6Ga2Pd
Radiation: CuKα
Structure: a DFT-relaxed cell (GGA-PBE, Alexandria)

Top 10 peaks for 2θ = 10–80°, by angle:
two_theta, I_rel
24.70, 20
25.20, 38
35.57, 100
35.77, 25
36.10, 24
51.74, 17
58.15, 11
64.15, 18
64.58, 17
75.32, 11

Structure:
```
Sm6Ga2Pd
1.0
-2.488 3.605 7.530
2.488 -3.605 7.530
2.488 3.605 -7.530
Sm Ga Pd
6 2 1
Cartesian
2.488 1.775 -2.467 Sm
0.000 1.776 0.000 Sm
2.488 1.775 2.467 Sm
0.000 1.830 5.063 Sm
0.000 5.434 0.000 Sm
0.000 1.830 9.997 Sm
2.488 0.000 5.013 Ga
0.000 3.605 2.517 Ga
2.488 0.000 0.000 Pd
```